# 1
This entry pairs a crystal structure of Li3CrF6 with its simulated XRD peak list. Radiation: Cu Kα, 1.54184 Å. Structure: a crystal structure in the Materials Project, relaxed with GGA+U.

Cell and atoms:
a b c (Å): 4.851 4.851 8.909
angles (deg): 90.00 90.00 90.00
Space group P-4n2 (No. 118)
Unique sites:
Li1 0.000 0.000 0.000 x2
Li2 0.000 0.500 0.099 x4
Cr1 0.000 0.500 0.750 x2
F1 0.183 0.299 0.912 x8
F2 0.214 0.286 0.250 x4

Peak list (10 most intense, 2θ = 10–90°, low angle first)
| 2theta | I_rel | h k l |
| --- | --- | --- |
| 19.93 | 23 | 0 0 2 |
| 20.85 | 100 | 1 0 1 |
| 25.98 | 49 | 1 1 0 |
| 32.96 | 29 | 1 1 2 |
| 40.16 | 61 | 1 1 3 |
| 41.63 | 21 | 2 1 0 |
| 42.91 | 18 | 2 1 1 |
| 52.22 | 40 | 2 1 3 |
| 53.42 | 22 | 2 2 0 |
| 65.76 | 24 | 3 0 3 |

# 2
This entry pairs a crystal structure of Li2CrF6 with its simulated XRD peak list. Radiation: Cu Kα, 1.54184 Å. Structure: a crystal structure in the Materials Project, relaxed with GGA+U.

Cell and atoms:
a b c (Å): 4.661 4.674 10.104
angles (deg): 90.00 117.09 90.00
Space group P2_1/c (No. 14)
Unique sites:
Li1 0.161 0.019 0.166 x4
Cr1 0.500 0.000 0.500 x2
F1 0.156 0.193 0.349 x4
F2 0.221 0.720 0.500 x4
F3 0.460 0.188 0.653 x4

Peak list (10 most intense, 2θ = 10–90°, low angle first)
| 2theta | I_rel | h k l |
| --- | --- | --- |
| 19.74 | 47 | 0 0 2 |
| 21.42 | 100 | 0 1 1 |
| 21.53 | 33 | 1 0 -2 |
| 27.02 | 63 | 1 1 -1 |
| 40.55 | 36 | 1 1 2 |
| 40.75 | 36 | 1 1 -4 |
| 43.35 | 21 | 1 2 -1 |
| 53.37 | 23 | 2 1 1 |
| 55.70 | 23 | 2 2 -2 |
| 67.77 | 19 | 0 3 3 |